Theoretical powder diffraction line list of AcPu2Ge6 for Cu Kα, 1.54184 Å, from a DFT-relaxed cell (PBE, Alexandria).
Intensities are scaled so that the largest is 100.

Lattice parameters (Å, degrees): 7.6894 7.6894 4.0996 90.00 90.00 120.00
Space group P6/mmm (No. 191)
Asymmetric unit:
Ac  0.0000  0.0000  0.0000
Pu  0.3333  0.6667  0.0000
Ge  0.0000  0.3392  0.5000

Peak list (10 most intense, 2θ = 10–80°, low angle first)
- 23.13 deg, rel. 28
- 31.91 deg, rel. 100
- 40.64 deg, rel. 41
- 44.18 deg, rel. 11
- 50.45 deg, rel. 7
- 52.58 deg, rel. 25
- 61.58 deg, rel. 24
- 68.51 deg, rel. 23
- 73.56 deg, rel. 9
- 73.96 deg, rel. 7